Entry 1:
This entry pairs a crystal structure of Sm5Dy12Cd2 with its simulated XRD peak list. Radiation: copper Kα. Structure: a cell relaxed with PBE.
Intensities are scaled so that the largest is 1000.

Structure:
Unit cell a=9.026 b=9.026 c=8.328 alpha=91.77 beta=91.77 gamma=61.73
Positions (direct):
Sm (0.000, 0.000, 0.000)
Sm (0.234, 0.234, 0.076)
Sm (0.299, 0.299, 0.485)
Sm (0.701, 0.701, 0.515)
Sm (0.766, 0.766, 0.924)
Dy (0.037, 0.672, 0.262)
Dy (0.078, 0.078, 0.381)
Dy (0.181, 0.566, 0.828)
Dy (0.328, 0.963, 0.738)
Dy (0.434, 0.819, 0.172)
Dy (0.445, 0.445, 0.174)
Dy (0.555, 0.555, 0.826)
Dy (0.566, 0.181, 0.828)
Dy (0.672, 0.037, 0.262)
Dy (0.819, 0.434, 0.172)
Dy (0.922, 0.922, 0.619)
Dy (0.963, 0.328, 0.738)
Cd (0.326, 0.674, 0.500)
Cd (0.674, 0.326, 0.500)

Most intense lines, 2θ = 15–90°, sorted by position:
d_spacing	I_rel
2.901	633
2.839	477
2.800	1000
2.785	697
2.634	682
2.511	535


Entry 2:
This entry pairs a crystal structure of Sm5Dy3Cd with its simulated XRD peak list. Radiation: copper Kα. Structure: a cell relaxed with PBE.
Intensities are scaled so that the largest is 1000.

Structure:
Unit cell a=9.453 b=9.453 c=9.615 alpha=119.34 beta=119.34 gamma=75.91
Positions (direct):
Sm (0.085, 0.601, 0.262)
Sm (0.231, 0.231, 0.265)
Sm (0.244, 0.756, 0.000)
Sm (0.279, 0.279, 0.970)
Sm (0.399, 0.915, 0.738)
Sm (0.601, 0.085, 0.262)
Sm (0.721, 0.721, 0.030)
Sm (0.756, 0.244, 0.000)
Sm (0.769, 0.769, 0.735)
Sm (0.915, 0.399, 0.738)
Dy (0.000, 0.000, 0.500)
Dy (0.015, 0.015, 0.833)
Dy (0.485, 0.485, 0.649)
Dy (0.500, 0.500, 0.000)
Dy (0.515, 0.515, 0.351)
Dy (0.985, 0.985, 0.167)
Cd (0.251, 0.251, 0.614)
Cd (0.749, 0.749, 0.386)

Most intense lines, 2θ = 15–90°, sorted by position:
d_spacing	I_rel
5.815	637
3.092	613
2.907	1000
2.763	614
2.698	648
2.609	650


Entry 3:
This entry pairs a crystal structure of Sm8DyCd6 with its simulated XRD peak list. Radiation: copper Kα. Structure: a cell relaxed with PBE.
Intensities are scaled so that the largest is 1000.

Structure:
Unit cell a=8.345 b=8.345 c=8.345 alpha=66.08 beta=66.08 gamma=66.08
Positions (direct):
Sm (0.047, 0.718, 0.384)
Sm (0.166, 0.166, 0.166)
Sm (0.282, 0.616, 0.953)
Sm (0.384, 0.047, 0.718)
Sm (0.616, 0.953, 0.282)
Sm (0.718, 0.384, 0.047)
Sm (0.834, 0.834, 0.834)
Sm (0.953, 0.282, 0.616)
Dy (0.500, 0.500, 0.500)
Cd (0.120, 0.450, 0.779)
Cd (0.221, 0.880, 0.550)
Cd (0.450, 0.779, 0.120)
Cd (0.550, 0.221, 0.880)
Cd (0.779, 0.120, 0.450)
Cd (0.880, 0.550, 0.221)

Most intense lines, 2θ = 15–90°, sorted by position:
d_spacing	I_rel
3.724	325
2.640	1000
2.627	935
1.862	353
1.519	359
1.517	170


Entry 4:
This entry pairs a crystal structure of SmDy2Cd3 with its simulated XRD peak list. Radiation: copper Kα. Structure: a cell relaxed with PBE.
Intensities are scaled so that the largest is 1000.

Structure:
Unit cell a=8.392 b=8.392 c=7.601 alpha=90.00 beta=90.00 gamma=143.17
Positions (direct):
Sm (0.166, 0.834, 0.000)
Sm (0.834, 0.166, 0.000)
Dy (0.168, 0.832, 0.500)
Dy (0.500, 0.500, 0.000)
Dy (0.500, 0.500, 0.500)
Dy (0.832, 0.168, 0.500)
Cd (0.000, 0.000, 0.257)
Cd (0.000, 0.000, 0.743)
Cd (0.335, 0.665, 0.256)
Cd (0.335, 0.665, 0.744)
Cd (0.665, 0.335, 0.256)
Cd (0.665, 0.335, 0.744)

Most intense lines, 2θ = 15–90°, sorted by position:
d_spacing	I_rel
2.670	1000
2.653	492
1.876	176
1.545	183
1.535	361
1.187	116


Entry 5:
This entry pairs a crystal structure of SmDyCd14 with its simulated XRD peak list. Radiation: copper Kα. Structure: a cell relaxed with PBE.
Intensities are scaled so that the largest is 1000.

Structure:
Unit cell a=6.631 b=6.631 c=8.486 alpha=90.00 beta=90.00 gamma=90.00
Positions (direct):
Sm (0.000, 0.000, 0.000)
Dy (0.500, 0.500, 0.000)
Cd (0.000, 0.000, 0.500)
Cd (0.000, 0.500, 0.000)
Cd (0.000, 0.500, 0.500)
Cd (0.252, 0.252, 0.259)
Cd (0.252, 0.252, 0.741)
Cd (0.252, 0.748, 0.259)
Cd (0.252, 0.748, 0.741)
Cd (0.500, 0.000, 0.000)
Cd (0.500, 0.000, 0.500)
Cd (0.500, 0.500, 0.500)
Cd (0.748, 0.252, 0.259)
Cd (0.748, 0.252, 0.741)
Cd (0.748, 0.748, 0.259)
Cd (0.748, 0.748, 0.741)

Most intense lines, 2θ = 15–90°, sorted by position:
d_spacing	I_rel
2.613	1000
2.344	368
2.121	133
1.658	122
1.573	199
1.400	270


Entry 6:
This entry pairs a crystal structure of SmDy4Cd2 with its simulated XRD peak list. Radiation: copper Kα. Structure: a cell relaxed with PBE.
Intensities are scaled so that the largest is 1000.

Structure:
Unit cell a=10.729 b=10.729 c=10.729 alpha=27.45 beta=27.45 gamma=27.45
Positions (direct):
Sm (0.000, 0.000, 0.000)
Dy (0.202, 0.202, 0.202)
Dy (0.394, 0.394, 0.394)
Dy (0.606, 0.606, 0.606)
Dy (0.798, 0.798, 0.798)
Cd (0.101, 0.101, 0.101)
Cd (0.899, 0.899, 0.899)

Most intense lines, 2θ = 15–90°, sorted by position:
d_spacing	I_rel
3.591	727
2.546	1000
2.533	937
1.796	334
1.470	181
1.467	342


Entry 7:
This entry pairs a crystal structure of Sm12Dy6Cd with its simulated XRD peak list. Radiation: copper Kα. Structure: a cell relaxed with PBE.
Intensities are scaled so that the largest is 1000.

Structure:
Unit cell a=8.562 b=8.562 c=8.562 alpha=88.84 beta=88.84 gamma=88.84
Positions (direct):
Sm (0.038, 0.284, 0.933)
Sm (0.067, 0.962, 0.716)
Sm (0.136, 0.321, 0.483)
Sm (0.284, 0.933, 0.038)
Sm (0.321, 0.483, 0.136)
Sm (0.483, 0.136, 0.321)
Sm (0.517, 0.864, 0.679)
Sm (0.679, 0.517, 0.864)
Sm (0.716, 0.067, 0.962)
Sm (0.864, 0.679, 0.517)
Sm (0.933, 0.038, 0.284)
Sm (0.962, 0.716, 0.067)
Dy (0.214, 0.599, 0.759)
Dy (0.241, 0.786, 0.401)
Dy (0.401, 0.241, 0.786)
Dy (0.599, 0.759, 0.214)
Dy (0.759, 0.214, 0.599)
Dy (0.786, 0.401, 0.241)
Cd (0.500, 0.500, 0.500)

Most intense lines, 2θ = 15–90°, sorted by position:
d_spacing	I_rel
2.904	405
2.853	274
2.828	1000
2.723	690
2.690	317
2.576	178


Entry 8:
This entry pairs a crystal structure of Sm5DyCd with its simulated XRD peak list. Radiation: copper Kα. Structure: a cell relaxed with PBE.
Intensities are scaled so that the largest is 1000.

Structure:
Unit cell a=7.789 b=7.789 c=7.789 alpha=113.84 beta=83.65 gamma=134.95
Positions (direct):
Sm (0.000, 0.000, 0.000)
Sm (0.023, 0.273, 0.750)
Sm (0.275, 0.601, 0.326)
Sm (0.275, 0.949, 0.674)
Sm (0.524, 0.273, 0.250)
Dy (0.518, 0.518, 0.000)
Cd (0.777, 0.277, 0.500)

Most intense lines, 2θ = 15–90°, sorted by position:
d_spacing	I_rel
5.804	920
4.252	754
3.737	829
2.902	987
2.736	1000
2.251	814